[1]
The following is a computed powder diffractogram of Mn5Tc2O12. It was derived from a structure optimized by DFT (GGA+U), using CuKα.

Main lines, by angle (2θ from 10° to 90°):
| 2theta | intensity |
| --- | --- |
| 12.90 | 35 |
| 16.75 | 44 |
| 24.01 | 46 |
| 25.98 | 44 |
| 29.13 | 100 |
| 32.54 | 25 |
| 34.62 | 38 |
| 41.24 | 34 |
| 51.59 | 51 |
| 53.41 | 24 |

Cell and atoms:
```
Mn5Tc2O12
1.0
5.8755 -2.7978 0.0000
5.8755 2.7978 0.0000
-2.5649 0.0000 6.8606
Mn Tc O
5 2 12
direct
0.0000 0.0000 0.0000
0.2829 0.2829 0.0671
0.3169 0.3169 0.6759
0.6831 0.6831 0.3241
0.7171 0.7171 0.9329
0.2249 0.7751 0.5000
0.7751 0.2249 0.5000
0.0222 0.0222 0.7175
0.0856 0.5846 0.9188
0.0961 0.5804 0.4471
0.4154 0.9144 0.0812
0.4196 0.9039 0.5529
0.4831 0.4831 0.3049
0.5169 0.5169 0.6951
0.5804 0.0961 0.4471
0.5846 0.0856 0.9188
0.9039 0.4196 0.5529
0.9144 0.4154 0.0812
0.9778 0.9778 0.2825
```


[2]
The following is a computed powder diffractogram of MnTl3Tc2O9. It was derived from a structure optimized by DFT (GGA+U), using CuKα.

Main lines, by angle (2θ from 10° to 90°):
| 2theta | intensity |
| --- | --- |
| 21.80 | 29 |
| 30.93 | 100 |
| 31.12 | 98 |
| 38.32 | 20 |
| 44.45 | 55 |
| 54.90 | 20 |
| 55.25 | 40 |
| 55.37 | 20 |
| 73.31 | 18 |
| 73.61 | 17 |

Cell and atoms:
```
MnTl3Tc2O9
1.0
5.7479 0.0000 0.0000
-2.8740 4.9779 0.0000
0.0000 0.0000 7.1023
Mn Tl Tc O
1 3 2 9
direct
0.0000 0.0000 0.0000
0.0000 0.0000 0.5000
0.3333 0.6667 0.1659
0.6667 0.3333 0.8341
0.3333 0.6667 0.6685
0.6667 0.3333 0.3315
0.0000 0.5000 0.5000
0.1774 0.3549 0.8118
0.1774 0.8226 0.8118
0.3549 0.1774 0.1882
0.5000 0.0000 0.5000
0.5000 0.5000 0.5000
0.6451 0.8226 0.8118
0.8226 0.1774 0.1882
0.8226 0.6451 0.1882
```